[1]
SbO2: computed PXRD pattern (Cu Ka), based on a crystal structure in the Materials Project, relaxed with GGA-PBE.
Lines closer than 0.1° are merged.

Main lines, sorted by position (10 to 90 degrees two-theta):
2θ 14.4, rel. 100; 2θ 18.4, rel. 36; 2θ 24.9, rel. 32; 2θ 28.8, rel. 20; 2θ 31.0, rel. 26; 2θ 32.1, rel. 54; 2θ 33.2, rel. 20; 2θ 37.3, rel. 23; 2θ 47.1, rel. 23; 2θ 56.4, rel. 18

Crystal structure
a b c (Å): 7.2280 7.2280 7.2280
angles (deg): 53.65 53.65 53.65
Atoms (fractional coordinates):
1 Sb 0.0000 0.0000 0.0000
2 Sb 0.3961 0.3961 0.8734
3 Sb 0.3961 0.8734 0.3961
4 Sb 0.8734 0.3961 0.3961
5 O 0.1168 0.1168 0.6159
6 O 0.1168 0.6159 0.1168
7 O 0.1764 0.1764 0.1764
8 O 0.2023 0.6519 0.6519
9 O 0.6159 0.1168 0.1168
10 O 0.6200 0.6200 0.6200
11 O 0.6519 0.2023 0.6519
12 O 0.6519 0.6519 0.2023



[2]
Sr2CuCl2O2: computed PXRD pattern (Cu Ka), based on a crystal structure in the Materials Project, relaxed with GGA-PBE.
Lines closer than 0.1° are merged.

Main lines, sorted by position (10 to 90 degrees two-theta):
2θ 11.0, rel. 42; 2θ 27.9, rel. 11; 2θ 31.7, rel. 62; 2θ 35.9, rel. 100; 2θ 39.0, rel. 15; 2θ 45.5, rel. 33; 2θ 59.2, rel. 43; 2θ 66.3, rel. 10; 2θ 75.3, rel. 15; 2θ 77.7, rel. 10

Crystal structure
a b c (Å): 3.9896 3.9896 16.0656
angles (deg): 90.00 90.00 90.00
Atoms (fractional coordinates):
1 Sr 0.0000 0.0000 0.1065
2 Sr 0.0000 0.0000 0.8935
3 Sr 0.5000 0.5000 0.3935
4 Sr 0.5000 0.5000 0.6065
5 Cu 0.0000 0.0000 0.5000
6 Cu 0.5000 0.5000 0.0000
7 Cl 0.0000 0.0000 0.3176
8 Cl 0.0000 0.0000 0.6824
9 Cl 0.5000 0.5000 0.1824
10 Cl 0.5000 0.5000 0.8176
11 O 0.0000 0.5000 0.0000
12 O 0.0000 0.5000 0.5000
13 O 0.5000 0.0000 0.0000
14 O 0.5000 0.0000 0.5000



[3]
Ba5MgBi3O11: computed PXRD pattern (Cu Ka), based on a crystal structure in the Materials Project, relaxed with GGA-PBE.
Lines closer than 0.1° are merged.

Main lines, sorted by position (10 to 90 degrees two-theta):
2θ 18.3, rel. 10; 2θ 26.2, rel. 63; 2θ 27.2, rel. 100; 2θ 27.8, rel. 25; 2θ 37.0, rel. 16; 2θ 37.8, rel. 17; 2θ 40.7, rel. 13; 2θ 46.5, rel. 11; 2θ 46.9, rel. 23; 2θ 48.7, rel. 11

Crystal structure
a b c (Å): 6.5780 6.5780 9.5156
angles (deg): 90.89 90.89 95.25
Atoms (fractional coordinates):
1 Ba 0.0000 0.0000 0.0000
2 Ba 0.0300 0.4565 0.7255
3 Ba 0.0838 0.4866 0.2948
4 Ba 0.4565 0.0300 0.7255
5 Ba 0.4866 0.0838 0.2948
6 Mg 0.7163 0.7163 0.2390
7 Bi 0.4554 0.4554 0.9971
8 Bi 0.5015 0.5015 0.5223
9 Bi 0.9886 0.9886 0.5037
10 O 0.0629 0.0629 0.7433
11 O 0.1224 0.4617 0.0107
12 O 0.2427 0.2427 0.4717
13 O 0.2431 0.7363 0.5171
14 O 0.4617 0.1224 0.0107
15 O 0.4627 0.4627 0.7580
16 O 0.4869 0.4869 0.2561
17 O 0.7104 0.7104 0.0353
18 O 0.7339 0.7339 0.4514
19 O 0.7363 0.2431 0.5171
20 O 0.9521 0.9521 0.2612